No. 1
This entry pairs a crystal structure of Sr2MnNbO6 with its simulated powder diffractogram. Radiation: Cu Ka. Structure: the PBE+U geometry in the Materials Project.
Lines closer than 0.1° are merged.

The 10 most intense peaks (15 to 90 degrees two-theta), sorted by position:
| 2θ (°) | I/Imax |
| --- | --- |
| 19.1 | 4 |
| 31.4 | 100 |
| 37.0 | 2 |
| 38.7 | 7 |
| 45.0 | 37 |
| 55.9 | 39 |
| 65.5 | 22 |
| 74.5 | 17 |
| 78.8 | 2 |
| 83.1 | 7 |

Atomic structure:
Unit cell a=8.056 b=8.056 c=8.056 alpha=90.00 beta=90.00 gamma=90.00
Space group Fm-3m (No. 225)
Inequivalent atoms, fractional coordinates:
1 Sr 0.250 0.250 0.250
2 Mn 0.000 0.000 0.000
3 Nb 0.000 0.000 0.500
4 O 0.000 0.000 0.251



No. 2
This entry pairs a crystal structure of LiCoSnO4 with its simulated powder diffractogram. Radiation: Cu Ka. Structure: the PBE+U geometry in the Materials Project.
Lines closer than 0.1° are merged.

The 10 most intense peaks (15 to 90 degrees two-theta), sorted by position:
| 2θ (°) | I/Imax |
| --- | --- |
| 23.1 | 58 |
| 25.4 | 29 |
| 29.4 | 26 |
| 34.6 | 100 |
| 37.7 | 14 |
| 42.0 | 20 |
| 48.5 | 14 |
| 55.5 | 33 |
| 60.9 | 47 |
| 86.9 | 15 |

Atomic structure:
Unit cell a=6.088 b=6.088 c=8.600 alpha=90.00 beta=90.00 gamma=90.00
Space group P4_322 (No. 95)
Inequivalent atoms, fractional coordinates:
1 Li 0.000 0.216 0.000
2 Co 0.245 0.245 0.625
3 Sn 0.231 0.500 0.250
4 O 0.004 0.256 0.749
5 O 0.257 0.483 0.007



No. 3
This entry pairs a crystal structure of Li3MnV3O8 with its simulated powder diffractogram. Radiation: Cu Ka. Structure: the PBE+U geometry in the Materials Project.
Lines closer than 0.1° are merged.

The 10 most intense peaks (15 to 90 degrees two-theta), sorted by position:
| 2θ (°) | I/Imax |
| --- | --- |
| 18.1 | 100 |
| 35.3 | 36 |
| 36.9 | 8 |
| 42.8 | 71 |
| 46.8 | 10 |
| 56.5 | 14 |
| 62.0 | 18 |
| 62.2 | 19 |
| 65.4 | 13 |
| 78.4 | 8 |

Atomic structure:
Unit cell a=10.335 b=5.971 c=5.992 alpha=90.00 beta=125.15 gamma=90.00
Space group C2/m (No. 12)
Inequivalent atoms, fractional coordinates:
1 Li 0.000 0.000 0.000
2 Li 0.250 0.250 0.000
3 Mn 0.000 0.000 0.500
4 V 0.000 0.500 0.500
5 V 0.250 0.250 0.500
6 O 0.007 0.237 0.284
7 O 0.230 0.000 0.716
8 O 0.242 0.500 0.726